No. 1
The following is a computed powder diffractogram of HoSi2Au6. It was derived from a PBE-relaxed structure, using Cu Kα (λ = 1.5418 Å).
Peak positions follow from Bragg's law for the DFT cell and can differ from measured ones.

Main lines, by intensity (10 to 90 degrees two-theta):
35.61 deg, I 100, hkl 1 1 2; 41.28 deg, I 38, hkl 2 0 0; 71.59 deg, I 27, hkl 3 1 2; 59.97 deg, I 19, hkl 2 0 4; 10.16 deg, I 19, hkl 0 0 1; 41.49 deg, I 14, hkl 0 0 4; 59.81 deg, I 13, hkl 2 2 0; 71.88 deg, I 11, hkl 1 1 6

Crystal structure
```
data_HoSi2Au6
_space_group_name_H-M_alt 'P 4/m m m'
_space_group_IT_number 123
_space_group_name_Hall '-P 4 2'
_cell_length_a 4.374
_cell_length_b 4.374
_cell_length_c 8.705
_cell_angle_alpha 90.00
_cell_angle_beta 90.00
_cell_angle_gamma 90.00
loop_
_atom_site_label
_atom_site_type_symbol
_atom_site_fract_x
_atom_site_fract_y
_atom_site_fract_z
Ho1 Ho 0.000 0.000 0.000
Si1 Si 0.500 0.500 0.132
Au1 Au 0.000 0.000 0.500
Au2 Au 0.000 0.500 0.267
Au3 Au 0.500 0.500 0.500
```

---

No. 2
The following is a computed powder diffractogram of Ho2Si3Au5. It was derived from a PBE-relaxed structure, using Cu Kα (λ = 1.5418 Å).
Peak positions follow from Bragg's law for the DFT cell and can differ from measured ones.

Main lines, by intensity (10 to 90 degrees two-theta):
34.47 deg, I 100, hkl 1 3 2; 35.30 deg, I 73, hkl 1 7 1; 41.41 deg, I 48, hkl 2 0 0; 32.83 deg, I 35, hkl 1 1 2; 38.99 deg, I 32, hkl 0 10 1; 41.06 deg, I 31, hkl 0 4 3; 39.09 deg, I 25, hkl 1 9 0; 30.24 deg, I 24, hkl 1 5 1

Crystal structure
```
data_Ho2Si3Au5
_space_group_name_H-M_alt 'C m c 21'
_space_group_IT_number 36
_space_group_name_Hall 'C 2c -2'
_cell_length_a 4.361
_cell_length_b 24.430
_cell_length_c 7.068
_cell_angle_alpha 90.00
_cell_angle_beta 90.00
_cell_angle_gamma 90.00
loop_
_atom_site_label
_atom_site_type_symbol
_atom_site_fract_x
_atom_site_fract_y
_atom_site_fract_z
Ho1 Ho 0.000 0.020 0.000
Ho2 Ho 0.000 0.326 0.979
Si1 Si 0.000 0.105 0.303
Si2 Si 0.000 0.271 0.445
Si3 Si 0.000 0.453 0.207
Au1 Au 0.000 0.100 0.662
Au2 Au 0.000 0.196 0.155
Au3 Au 0.000 0.217 0.748
Au4 Au 0.000 0.377 0.459
Au5 Au 0.000 0.448 0.806
```

---

No. 3
The following is a computed powder diffractogram of Ho3Si5Au6. It was derived from a PBE-relaxed structure, using Cu Kα (λ = 1.5418 Å).
Peak positions follow from Bragg's law for the DFT cell and can differ from measured ones.

Main lines, by intensity (10 to 90 degrees two-theta):
35.20 deg, I 100, hkl 1 3 2; 34.74 deg, I 47, hkl 0 3 3; 31.32 deg, I 40, hkl 1 3 1; 42.93 deg, I 31, hkl 2 0 0; 42.70 deg, I 27, hkl 0 6 0; 62.16 deg, I 18, hkl 2 6 0; 56.35 deg, I 16, hkl 2 3 3; 65.17 deg, I 14, hkl 1 3 6

Crystal structure
```
data_Ho3Si5Au6
_space_group_name_H-M_alt 'P m m n'
_space_group_IT_number 59
_cell_length_a 4.213
_cell_length_b 12.705
_cell_length_c 9.785
_cell_angle_alpha 90.00
_cell_angle_beta 90.00
_cell_angle_gamma 90.00
loop_
_space_group_symop_operation_xyz
'x,y,z'
'-x,-y,-z'
'-x+1/2,-y+1/2,z'
'x+1/2,y+1/2,-z'
'x+1/2,-y,-z'
'-x+1/2,y,z'
'-x,y+1/2,-z'
'x,-y+1/2,z'
loop_
_atom_site_label
_atom_site_type_symbol
_atom_site_fract_x
_atom_site_fract_y
_atom_site_fract_z
Ho1 Ho 0.250 0.076 0.244
Ho2 Ho 0.250 0.750 0.254
Si1 Si 0.250 0.088 0.859
Si2 Si 0.250 0.628 0.538
Si3 Si 0.250 0.750 0.792
Au1 Au 0.250 0.066 0.612
Au2 Au 0.250 0.250 0.019
Au3 Au 0.250 0.250 0.456
Au4 Au 0.250 0.589 0.995
```

---

No. 4
The following is a computed powder diffractogram of HoZn2SiAu4. It was derived from a PBE-relaxed structure, using Cu Kα (λ = 1.5418 Å).
Peak positions follow from Bragg's law for the DFT cell and can differ from measured ones.

Main lines, by intensity (10 to 90 degrees two-theta):
40.80 deg, I 100, hkl 1 1 0; 36.03 deg, I 93, hkl 0 1 8; 33.43 deg, I 39, hkl 1 0 7; 26.95 deg, I 37, hkl 1 0 4; 68.32 deg, I 30, hkl 1 1 15; 55.55 deg, I 27, hkl 2 0 8; 71.17 deg, I 26, hkl 1 2 8; 74.27 deg, I 17, hkl 3 0 0

Crystal structure
```
data_HoZn2SiAu4
_space_group_name_H-M_alt 'R -3 m'
_space_group_IT_number 166
_space_group_name_Hall '-R 3 2"'
_cell_length_a 4.4234
_cell_length_b 4.4234
_cell_length_c 26.2671
_cell_angle_alpha 90.00
_cell_angle_beta 90.00
_cell_angle_gamma 120.00
loop_
_atom_site_label
_atom_site_type_symbol
_atom_site_fract_x
_atom_site_fract_y
_atom_site_fract_z
Ho1 Ho 0.0000 0.0000 0.0000
Zn1 Zn 0.0000 0.0000 0.2533
Si1 Si 0.0000 0.0000 0.5000
Au1 Au 0.0000 0.0000 0.1307
Au2 Au 0.0000 0.0000 0.3953
```

---

No. 5
The following is a computed powder diffractogram of Sm3HoAu2. It was derived from a PBE-relaxed structure, using Cu Kα (λ = 1.5418 Å).
Peak positions follow from Bragg's law for the DFT cell and can differ from measured ones.

Main lines, by intensity (10 to 90 degrees two-theta):
32.17 deg, I 100, hkl 1 1 2; 34.30 deg, I 76, hkl 1 3 0; 35.50 deg, I 65, hkl 2 0 0; 29.11 deg, I 59, hkl 1 2 1; 42.81 deg, I 48, hkl 0 2 3; 48.39 deg, I 30, hkl 2 2 2; 30.61 deg, I 29, hkl 1 0 2; 31.74 deg, I 24, hkl 0 2 2

Crystal structure
```
data_Sm3HoAu2
_space_group_name_H-M_alt 'P m c 21'
_space_group_IT_number 26
_space_group_name_Hall 'P 2c -2'
_cell_length_a 5.058
_cell_length_b 9.161
_cell_length_c 7.154
_cell_angle_alpha 90.00
_cell_angle_beta 90.00
_cell_angle_gamma 90.00
loop_
_atom_site_label
_atom_site_type_symbol
_atom_site_fract_x
_atom_site_fract_y
_atom_site_fract_z
Sm1 Sm 0.000 0.075 0.000
Sm2 Sm 0.000 0.335 0.358
Sm3 Sm 0.500 0.167 0.660
Ho1 Ho 0.500 0.427 0.018
Au1 Au 0.000 0.350 0.773
Au2 Au 0.500 0.157 0.245
```

---

No. 6
The following is a computed powder diffractogram of SmHo5Au4. It was derived from a PBE-relaxed structure, using Cu Kα (λ = 1.5418 Å).
Peak positions follow from Bragg's law for the DFT cell and can differ from measured ones.

Main lines, by intensity (10 to 90 degrees two-theta):
33.99 deg, I 100, hkl 1 0 5; 35.63 deg, I 61, hkl 1 1 0; 62.96 deg, I 34, hkl 2 1 5; 51.27 deg, I 29, hkl 2 0 0; 37.34 deg, I 27, hkl 1 0 6; 75.45 deg, I 16, hkl 2 2 0; 63.98 deg, I 14, hkl 1 1 11; 65.13 deg, I 11, hkl 2 1 6

Crystal structure
```
data_SmHo5Au4
_space_group_name_H-M_alt 'P 4/m m m'
_space_group_IT_number 123
_space_group_name_Hall '-P 4 2'
_cell_length_a 3.563
_cell_length_b 3.563
_cell_length_c 19.608
_cell_angle_alpha 90.00
_cell_angle_beta 90.00
_cell_angle_gamma 90.00
loop_
_atom_site_label
_atom_site_type_symbol
_atom_site_fract_x
_atom_site_fract_y
_atom_site_fract_z
Sm1 Sm 0.000 0.000 0.000
Ho1 Ho 0.500 0.500 0.131
Ho2 Ho 0.500 0.500 0.314
Ho3 Ho 0.500 0.500 0.500
Au1 Au 0.000 0.000 0.220
Au2 Au 0.000 0.000 0.407
```